Entry 1:
This entry pairs a crystal structure of CrPSe5 with its calculated X-ray diffraction stick pattern. Radiation: Cu Kα X-rays. Structure: a PBE-relaxed structure.
Neutral-atom scattering factors, no anomalous dispersion.

Top 12 peaks for 2θ from 10° to 90°, most intense first:
| d_spacing | 2θ/deg | I/Imax | index |
| --- | --- | --- | --- |
| 2.880 | 31.1 | 100 | 2 1 -1 |
| 8.834 | 10.0 | 81 | 1 0 -1 |
| 2.409 | 37.3 | 74 | 3 1 -2 |
| 5.229 | 17.0 | 56 | 1 0 -2 |
| 3.384 | 26.3 | 51 | 2 0 -3 |
| 2.608 | 34.4 | 51 | 1 0 3 |
| 1.746 | 52.4 | 43 | 4 1 1 |
| 2.792 | 32.1 | 38 | 0 1 2 |
| 2.735 | 32.7 | 32 | 2 1 -2 |
| 1.742 | 52.5 | 31 | 0 2 0 |
| 2.062 | 43.9 | 30 | 1 1 -4 |
| 2.709 | 33.1 | 28 | 2 0 2 |

Crystal structure
a b c (Å): 10.250 3.483 10.481
angles (deg): 90.00 116.96 90.00
Space group P2_1/m (No. 11)
Inequivalent atoms, fractional coordinates:
Cr: 0.121 0.250 0.093 x2
P: 0.459 0.750 0.315 x2
Se: 0.002 0.250 0.837 x2
Se: 0.161 0.750 0.544 x2
Se: 0.292 0.750 0.074 x2
Se: 0.313 0.250 0.361 x2
Se: 0.380 0.750 0.746 x2

---

Entry 2:
This entry pairs a crystal structure of Ir2PtRh2 with its calculated X-ray diffraction stick pattern. Radiation: Cu Kα X-rays. Structure: a PBE-relaxed structure.
Neutral-atom scattering factors, no anomalous dispersion.

Top 12 peaks for 2θ from 10° to 90°, most intense first:
| d_spacing | 2θ/deg | I/Imax | index |
| --- | --- | --- | --- |
| 2.188 | 41.3 | 100 | 1 0 2 |
| 2.006 | 45.2 | 83 | 0 1 3 |
| 2.325 | 38.7 | 55 | 0 1 1 |
| 2.245 | 40.2 | 50 | 0 0 5 |
| 1.171 | 82.4 | 38 | 1 1 5 |
| 1.372 | 68.4 | 32 | 1 1 0 |
| 1.814 | 50.3 | 24 | 1 0 4 |
| 1.329 | 70.9 | 19 | 1 0 7 |
| 1.208 | 79.3 | 17 | 0 1 8 |
| 1.470 | 63.3 | 15 | 0 1 6 |
| 1.162 | 83.1 | 13 | 0 2 2 |
| 1.132 | 85.8 | 13 | 2 0 3 |

Crystal structure
a b c (Å): 2.7440 2.7440 11.2261
angles (deg): 90.00 90.00 120.00
Space group P-3m1 (No. 164)
Inequivalent atoms, fractional coordinates:
Ir: 0.3333 0.6667 0.4004 x2
Pt: 0.0000 0.0000 0.0000 x1
Rh: 0.3333 0.6667 0.7954 x2

---

Entry 3:
This entry pairs a crystal structure of SrAsH2O4 with its calculated X-ray diffraction stick pattern. Radiation: Cu Kα X-rays. Structure: a PBE-relaxed structure.
Neutral-atom scattering factors, no anomalous dispersion.

Top 12 peaks for 2θ from 10° to 90°, most intense first:
| d_spacing | 2θ/deg | I/Imax | index |
| --- | --- | --- | --- |
| 3.646 | 24.4 | 100 | 1 1 0 |
| 2.470 | 36.4 | 93 | 1 1 2 |
| 3.024 | 29.5 | 41 | 0 2 0 |
| 2.247 | 40.1 | 29 | 0 2 2 |
| 1.889 | 48.2 | 26 | 2 0 2 |
| 3.357 | 26.6 | 25 | 0 0 2 |
| 1.616 | 57.0 | 22 | 1 3 2 |
| 1.602 | 57.5 | 22 | 2 2 2 |
| 1.525 | 60.7 | 20 | 1 1 4 |
| 1.844 | 49.4 | 18 | 1 3 0 |
| 1.352 | 69.5 | 18 | 2 0 4 |
| 1.823 | 50.0 | 16 | 2 2 0 |

Crystal structure
a b c (Å): 4.570 6.048 6.714
angles (deg): 90.00 90.00 90.00
Space group I222 (No. 23)
Inequivalent atoms, fractional coordinates:
Sr: 0.000 0.000 0.000 x2
As: 0.000 0.000 0.500 x2
H: 0.000 0.500 0.168 x4
O: 0.222 0.383 0.823 x8

---

Entry 4:
This entry pairs a crystal structure of La2YHo5Sc with its calculated X-ray diffraction stick pattern. Radiation: Cu Kα X-rays. Structure: a PBE-relaxed structure.
Neutral-atom scattering factors, no anomalous dispersion.

Top 12 peaks for 2θ from 10° to 90°, most intense first:
| d_spacing | 2θ/deg | I/Imax | index |
| --- | --- | --- | --- |
| 2.760 | 32.4 | 100 | 1 5 2 |
| 2.788 | 32.1 | 43 | 2 0 0 |
| 2.914 | 30.7 | 40 | 1 1 3 |
| 3.306 | 27.0 | 27 | 1 3 2 |
| 1.604 | 57.4 | 19 | 3 5 2 |
| 3.181 | 28.0 | 17 | 0 6 1 |
| 1.492 | 62.2 | 14 | 2 6 5 |
| 2.601 | 34.5 | 13 | 0 0 4 |
| 1.766 | 51.8 | 12 | 0 6 5 |
| 2.097 | 43.1 | 11 | 2 6 1 |
| 1.550 | 59.7 | 11 | 1 11 3 |
| 1.902 | 47.8 | 10 | 2 0 4 |

Crystal structure
a b c (Å): 5.577 20.047 10.404
angles (deg): 90.00 90.00 90.00
Space group Cmc2_1 (No. 36)
Inequivalent atoms, fractional coordinates:
La: 0.000 0.114 0.000 x4
La: 0.000 0.116 0.422 x4
Y: 0.000 0.407 0.151 x4
Ho: 0.000 0.014 0.705 x4
Ho: 0.000 0.276 0.006 x4
Ho: 0.000 0.296 0.390 x4
Ho: 0.000 0.375 0.707 x4
Ho: 0.000 0.484 0.430 x4
Sc: 0.000 0.199 0.701 x4

---

Entry 5:
This entry pairs a crystal structure of Pm3Dy13 with its calculated X-ray diffraction stick pattern. Radiation: Cu Kα X-rays. Structure: a PBE-relaxed structure.
Neutral-atom scattering factors, no anomalous dispersion.

Top 12 peaks for 2θ from 10° to 90°, most intense first:
| d_spacing | 2θ/deg | I/Imax | index |
| --- | --- | --- | --- |
| 2.908 | 30.7 | 100 | 2 2 2 |
| 2.518 | 35.7 | 51 | 4 0 0 |
| 1.781 | 51.3 | 36 | 4 4 0 |
| 1.519 | 61.0 | 29 | 2 6 2 |
| 1.517 | 61.1 | 14 | 6 2 2 |
| 1.454 | 64.0 | 12 | 4 4 4 |
| 1.156 | 83.7 | 12 | 6 2 6 |
| 1.127 | 86.3 | 11 | 4 8 0 |
| 1.155 | 83.8 | 6 | 6 6 2 |
| 1.125 | 86.5 | 6 | 8 4 0 |
| 1.260 | 75.4 | 4 | 0 8 0 |
| 1.257 | 75.6 | 2 | 8 0 0 |

Crystal structure
a b c (Å): 10.058 10.077 10.083
angles (deg): 90.00 90.00 90.00
Space group Amm2 (No. 38)
Inequivalent atoms, fractional coordinates:
Pm: 0.000 0.000 0.000 x2
Pm: 0.251 0.000 0.252 x4
Dy: 0.000 0.000 0.502 x2
Dy: 0.000 0.249 0.751 x4
Dy: 0.251 0.000 0.750 x4
Dy: 0.251 0.250 0.001 x8
Dy: 0.500 0.000 0.000 x2
Dy: 0.500 0.000 0.502 x2
Dy: 0.500 0.249 0.751 x4

---

Entry 6:
This entry pairs a crystal structure of Li2Zn2I7 with its calculated X-ray diffraction stick pattern. Radiation: Cu Kα X-rays. Structure: a PBE-relaxed structure.
Neutral-atom scattering factors, no anomalous dispersion.

Top 12 peaks for 2θ from 10° to 90°, most intense first:
| d_spacing | 2θ/deg | I/Imax | index |
| --- | --- | --- | --- |
| 6.819 | 13.0 | 100 | 1 1 -1 |
| 3.357 | 26.6 | 73 | 1 3 -2 |
| 4.401 | 20.2 | 55 | 2 0 -1 |
| 3.388 | 26.3 | 43 | 1 3 1 |
| 3.260 | 27.4 | 42 | 0 0 3 |
| 4.890 | 18.1 | 27 | 0 0 2 |
| 3.869 | 23.0 | 24 | 1 3 0 |
| 2.647 | 33.9 | 23 | 2 0 2 |
| 1.895 | 48.0 | 21 | 1 3 -5 |
| 2.825 | 31.7 | 20 | 3 1 -2 |
| 2.203 | 41.0 | 19 | 0 6 0 |
| 3.307 | 27.0 | 18 | 2 0 1 |

Crystal structure
a b c (Å): 8.805 13.219 10.635
angles (deg): 90.00 113.13 90.00
Space group C2/m (No. 12)
Inequivalent atoms, fractional coordinates:
Li: 0.000 0.144 0.000 x4
Zn: 0.220 0.500 0.765 x4
I: 0.000 0.500 0.500 x2
I: 0.034 0.000 0.808 x4
I: 0.153 0.322 0.836 x8

---

Entry 7:
This entry pairs a crystal structure of Tb2HgPd9 with its calculated X-ray diffraction stick pattern. Radiation: Cu Kα X-rays. Structure: a PBE-relaxed structure.
Neutral-atom scattering factors, no anomalous dispersion.

Top 12 peaks for 2θ from 10° to 90°, most intense first:
| d_spacing | 2θ/deg | I/Imax | index |
| --- | --- | --- | --- |
| 2.373 | 37.9 | 100 | 1 1 3 |
| 2.048 | 44.2 | 32 | 2 0 0 |
| 1.236 | 77.2 | 25 | 3 1 3 |
| 1.455 | 64.0 | 21 | 2 0 6 |
| 2.068 | 43.8 | 17 | 0 0 6 |
| 1.245 | 76.5 | 12 | 1 1 9 |
| 1.186 | 81.1 | 11 | 2 2 6 |
| 1.448 | 64.3 | 10 | 2 2 0 |
| 4.096 | 21.7 | 3 | 1 0 0 |
| 2.911 | 30.7 | 3 | 1 0 3 |
| 4.136 | 21.5 | 2 | 0 0 3 |
| 2.896 | 30.9 | 1 | 1 1 0 |

Crystal structure
a b c (Å): 4.096 4.096 12.409
angles (deg): 90.00 90.00 90.00
Space group P4/mmm (No. 123)
Inequivalent atoms, fractional coordinates:
Tb: 0.000 0.000 0.170 x2
Hg: 0.000 0.000 0.500 x1
Pd: 0.000 0.500 0.000 x2
Pd: 0.000 0.500 0.335 x4
Pd: 0.500 0.500 0.166 x2
Pd: 0.500 0.500 0.500 x1

---

Entry 8:
This entry pairs a crystal structure of Ba2Sr2Tl15 with its calculated X-ray diffraction stick pattern. Radiation: Cu Kα X-rays. Structure: a PBE-relaxed structure.
Neutral-atom scattering factors, no anomalous dispersion.

Top 12 peaks for 2θ from 10° to 90°, most intense first:
| d_spacing | 2θ/deg | I/Imax | index |
| --- | --- | --- | --- |
| 2.838 | 31.5 | 100 | 0 3 3 |
| 2.531 | 35.5 | 98 | 2 2 3 |
| 2.798 | 32.0 | 52 | 2 2 0 |
| 5.595 | 15.8 | 45 | 1 1 0 |
| 2.870 | 31.2 | 41 | 2 0 5 |
| 3.279 | 27.2 | 40 | 0 2 4 |
| 2.968 | 30.1 | 38 | 0 0 6 |
| 1.615 | 57.0 | 27 | 6 0 0 |
| 1.639 | 56.1 | 25 | 0 4 8 |
| 2.622 | 34.2 | 22 | 1 1 6 |
| 2.023 | 44.8 | 17 | 2 0 8 |
| 1.779 | 51.4 | 16 | 3 3 3 |

Crystal structure
a b c (Å): 11.1908 11.1908 17.8107
angles (deg): 90.00 90.00 120.00
Space group R-3m (No. 166, hexagonal axes)
Inequivalent atoms, fractional coordinates:
Ba: 0.0000 0.0000 0.1434 x6
Sr: 0.0000 0.0000 0.3944 x6
Tl: 0.0000 0.2914 0.5000 x18
Tl: 0.0000 0.5000 0.0000 x9
Tl: 0.0076 0.5038 0.6370 x18